[1]
Structure and computed powder diffractogram of MoWSe2S2 (a crystal structure in the Materials Project, relaxed with GGA-PBE; Cu Kα, 1.54184 Å).
Peak positions follow from Bragg's law for the DFT cell and can differ from measured ones.

Principal peaks in the range 2θ from 15° to 90°, by angle:
2θ (°), d/Å, intensity, h k l
31.78, 2.815, 55, 1 0 0
32.61, 2.746, 14, 1 0 3
34.06, 2.632, 21, 1 0 5
36.15, 2.485, 17, 1 0 7
37.41, 2.404, 100, 1 0 8
38.79, 2.322, 18, 0 1 9
45.36, 1.999, 62, 1 0 13
47.23, 1.924, 25, 0 1 14
56.59, 1.626, 37, 1 1 0
58.06, 1.589, 18, 1 1 5
69.81, 1.347, 16, 2 0 8
80.48, 1.193, 17, 1 1 21

Structure:
```
data_MoWSe2S2
_chemical_formula_sum 'Mo2 W2 Se4 S4'
_space_group_name_H-M_alt 'P 3 m 1'
_space_group_IT_number 156
_space_group_name_Hall 'P 3 -2"'
_cell_length_a 3.2534
_cell_length_b 3.2534
_cell_length_c 36.8823
_cell_angle_alpha 90.00
_cell_angle_beta 90.00
_cell_angle_gamma 120.00
loop_
_atom_site_label
_atom_site_type_symbol
_atom_site_fract_x
_atom_site_fract_y
_atom_site_fract_z
_atom_site_occupancy
Mo1 Mo 0.0000 0.0000 0.0000 1
Mo2 Mo 0.3333 0.6667 0.5636 1
W1 W 0.0000 0.0000 0.3757 1
W2 W 0.3333 0.6667 0.1879 1
Se1 Se 0.0000 0.0000 0.1415 1
Se2 Se 0.0000 0.0000 0.2342 1
Se3 Se 0.0000 0.0000 0.5176 1
Se4 Se 0.0000 0.0000 0.6097 1
S1 S 0.3333 0.6667 0.0419 1
S2 S 0.3333 0.6667 0.3337 1
S3 S 0.3333 0.6667 0.4177 1
S4 S 0.3333 0.6667 0.9581 1
```

---

[2]
Structure and computed powder diffractogram of MoWSe3S (a crystal structure in the Materials Project, relaxed with GGA-PBE; Cu Kα, 1.54184 Å).
Peak positions follow from Bragg's law for the DFT cell and can differ from measured ones.

Principal peaks in the range 2θ from 15° to 90°, by angle:
2θ (°), d/Å, intensity, h k l
31.39, 2.850, 45, 1 0 0
33.64, 2.664, 21, 1 0 5
34.59, 2.593, 17, 0 1 6
36.93, 2.434, 100, 1 0 8
39.75, 2.268, 22, 1 0 10
44.75, 2.025, 62, 0 1 13
46.58, 1.950, 18, 1 0 14
55.86, 1.646, 32, 1 1 0
57.31, 1.608, 15, 1 1 5
68.85, 1.364, 16, 0 2 8
74.24, 1.277, 14, 2 0 13
79.23, 1.209, 17, 1 1 21

Structure:
```
data_MoWSe3S
_chemical_formula_sum 'Mo2 W2 Se6 S2'
_space_group_name_H-M_alt 'P 3 m 1'
_space_group_IT_number 156
_space_group_name_Hall 'P 3 -2"'
_cell_length_a 3.2921
_cell_length_b 3.2921
_cell_length_c 37.4111
_cell_angle_alpha 90.00
_cell_angle_beta 90.00
_cell_angle_gamma 120.00
loop_
_atom_site_label
_atom_site_type_symbol
_atom_site_fract_x
_atom_site_fract_y
_atom_site_fract_z
_atom_site_occupancy
Mo1 Mo 0.0000 0.0000 0.0000 1
Mo2 Mo 0.3333 0.6667 0.8122 1
W1 W 0.0000 0.0000 0.6243 1
W2 W 0.3333 0.6667 0.1879 1
Se1 Se 0.0000 0.0000 0.1426 1
Se2 Se 0.0000 0.0000 0.2333 1
Se3 Se 0.3333 0.6667 0.0451 1
Se4 Se 0.3333 0.6667 0.5789 1
Se5 Se 0.3333 0.6667 0.6696 1
Se6 Se 0.3333 0.6667 0.9549 1
S1 S 0.0000 0.0000 0.7712 1
S2 S 0.0000 0.0000 0.8531 1
```

---

[3]
Structure and computed powder diffractogram of MoWSe2S2 (a crystal structure in the Materials Project, relaxed with GGA-PBE; Cu Kα, 1.54184 Å).
Peak positions follow from Bragg's law for the DFT cell and can differ from measured ones.

Principal peaks in the range 2θ from 15° to 90°, by angle:
2θ (°), d/Å, intensity, h k l
31.78, 2.816, 48, 1 0 0
32.61, 2.746, 15, 1 0 3
34.06, 2.632, 26, 1 0 5
35.04, 2.561, 13, 0 1 6
37.41, 2.404, 100, 1 0 8
45.37, 1.999, 60, 0 1 13
47.24, 1.924, 21, 1 0 14
56.59, 1.626, 33, 1 1 0
58.07, 1.588, 17, 1 1 5
69.81, 1.347, 16, 0 2 8
75.33, 1.262, 13, 2 0 13
80.48, 1.193, 16, 1 1 21

Structure:
```
data_MoWSe2S2
_chemical_formula_sum 'Mo2 W2 Se4 S4'
_space_group_name_H-M_alt 'P 3 m 1'
_space_group_IT_number 156
_space_group_name_Hall 'P 3 -2"'
_cell_length_a 3.2532
_cell_length_b 3.2532
_cell_length_c 36.8779
_cell_angle_alpha 90.00
_cell_angle_beta 90.00
_cell_angle_gamma 120.00
loop_
_atom_site_label
_atom_site_type_symbol
_atom_site_fract_x
_atom_site_fract_y
_atom_site_fract_z
_atom_site_occupancy
Mo1 Mo 0.0000 0.0000 0.0000 1
Mo2 Mo 0.0000 0.0000 0.3758 1
W1 W 0.3333 0.6667 0.1879 1
W2 W 0.3333 0.6667 0.5636 1
Se1 Se 0.0000 0.0000 0.1415 1
Se2 Se 0.0000 0.0000 0.2343 1
Se3 Se 0.3333 0.6667 0.0461 1
Se4 Se 0.3333 0.6667 0.9540 1
S1 S 0.0000 0.0000 0.5216 1
S2 S 0.0000 0.0000 0.6057 1
S3 S 0.3333 0.6667 0.3339 1
S4 S 0.3333 0.6667 0.4177 1
```

---

[4]
Structure and computed powder diffractogram of MoWSe2S2 (a crystal structure in the Materials Project, relaxed with GGA-PBE; Cu Kα, 1.54184 Å).
Peak positions follow from Bragg's law for the DFT cell and can differ from measured ones.

Principal peaks in the range 2θ from 15° to 90°, by angle:
2θ (°), d/Å, intensity, h k l
15.40, 5.754, 36, 0 0 4
31.72, 2.821, 37, 1 0 0
31.96, 2.800, 31, 0 1 1
32.68, 2.740, 23, 1 0 2
33.86, 2.648, 31, 1 0 3
35.44, 2.533, 39, 0 1 4
37.39, 2.405, 100, 1 0 5
39.66, 2.273, 47, 1 0 6
42.21, 2.141, 23, 0 1 7
45.00, 2.014, 69, 0 1 8
48.02, 1.895, 31, 1 0 9
56.50, 1.629, 28, 1 1 0

Structure:
```
data_MoWSe2S2
_chemical_formula_sum 'Mo1 W1 Se2 S2'
_space_group_name_H-M_alt 'P 3 m 1'
_space_group_IT_number 156
_space_group_name_Hall 'P 3 -2"'
_cell_length_a 3.2574
_cell_length_b 3.2574
_cell_length_c 23.0177
_cell_angle_alpha 90.00
_cell_angle_beta 90.00
_cell_angle_gamma 120.00
loop_
_atom_site_label
_atom_site_type_symbol
_atom_site_fract_x
_atom_site_fract_y
_atom_site_fract_z
_atom_site_occupancy
Mo1 Mo 0.0000 0.0000 0.0000 1
W1 W 0.6667 0.3333 0.6990 1
Se1 Se 0.0000 0.0000 0.6248 1
Se2 Se 0.0000 0.0000 0.7732 1
S1 S 0.6667 0.3333 0.0670 1
S2 S 0.6667 0.3333 0.9330 1
```

---

[5]
Structure and computed powder diffractogram of MoWSe3S (a crystal structure in the Materials Project, relaxed with GGA-PBE; Cu Kα, 1.54184 Å).
Peak positions follow from Bragg's law for the DFT cell and can differ from measured ones.

Principal peaks in the range 2θ from 15° to 90°, by angle:
2θ (°), d/Å, intensity, h k l
31.43, 2.847, 48, 1 0 0
33.68, 2.661, 20, 1 0 5
34.64, 2.590, 11, 0 1 6
36.97, 2.431, 100, 1 0 8
39.81, 2.265, 14, 1 0 10
44.81, 2.022, 63, 1 0 13
46.65, 1.947, 22, 1 0 14
55.93, 1.644, 35, 1 1 0
57.38, 1.606, 16, 1 1 5
68.94, 1.362, 16, 2 0 8
74.35, 1.276, 14, 0 2 13
79.37, 1.207, 17, 1 1 21

Structure:
```
data_MoWSe3S
_chemical_formula_sum 'Mo2 W2 Se6 S2'
_space_group_name_H-M_alt 'P 3 m 1'
_space_group_IT_number 156
_space_group_name_Hall 'P 3 -2"'
_cell_length_a 3.2886
_cell_length_b 3.2886
_cell_length_c 37.3434
_cell_angle_alpha 90.00
_cell_angle_beta 90.00
_cell_angle_gamma 120.00
loop_
_atom_site_label
_atom_site_type_symbol
_atom_site_fract_x
_atom_site_fract_y
_atom_site_fract_z
_atom_site_occupancy
Mo1 Mo 0.0000 0.0000 0.0000 1
Mo2 Mo 0.3333 0.6667 0.1879 1
W1 W 0.0000 0.0000 0.3757 1
W2 W 0.3333 0.6667 0.5636 1
Se1 Se 0.0000 0.0000 0.5182 1
Se2 Se 0.0000 0.0000 0.6090 1
Se3 Se 0.3333 0.6667 0.0451 1
Se4 Se 0.3333 0.6667 0.3303 1
Se5 Se 0.3333 0.6667 0.4211 1
Se6 Se 0.3333 0.6667 0.9549 1
S1 S 0.0000 0.0000 0.1468 1
S2 S 0.0000 0.0000 0.2289 1
```

---

[6]
Structure and computed powder diffractogram of MoW3Se4S4 (a crystal structure in the Materials Project, relaxed with GGA-PBE; Cu Kα, 1.54184 Å).
Peak positions follow from Bragg's law for the DFT cell and can differ from measured ones.

Principal peaks in the range 2θ from 15° to 90°, by angle:
2θ (°), d/Å, intensity, h k l
31.78, 2.816, 52, 1 0 0
32.61, 2.746, 17, 1 0 3
34.06, 2.632, 25, 1 0 5
35.03, 2.561, 14, 0 1 6
37.41, 2.404, 100, 1 0 8
45.36, 1.999, 59, 0 1 13
47.23, 1.924, 20, 1 0 14
56.59, 1.626, 31, 1 1 0
58.07, 1.589, 18, 1 1 5
69.81, 1.347, 16, 0 2 8
75.32, 1.262, 13, 2 0 13
80.48, 1.193, 16, 1 1 21

Structure:
```
data_MoW3Se4S4
_chemical_formula_sum 'Mo1 W3 Se4 S4'
_space_group_name_H-M_alt 'P 3 m 1'
_space_group_IT_number 156
_space_group_name_Hall 'P 3 -2"'
_cell_length_a 3.2534
_cell_length_b 3.2534
_cell_length_c 36.8815
_cell_angle_alpha 90.00
_cell_angle_beta 90.00
_cell_angle_gamma 120.00
loop_
_atom_site_label
_atom_site_type_symbol
_atom_site_fract_x
_atom_site_fract_y
_atom_site_fract_z
_atom_site_occupancy
Mo1 Mo 0.0000 0.0000 0.0000 1
W1 W 0.0000 0.0000 0.3758 1
W2 W 0.6667 0.3333 0.1879 1
W3 W 0.6667 0.3333 0.8121 1
Se1 Se 0.6667 0.3333 0.0460 1
Se2 Se 0.6667 0.3333 0.3294 1
Se3 Se 0.6667 0.3333 0.4221 1
Se4 Se 0.6667 0.3333 0.9540 1
S1 S 0.0000 0.0000 0.1459 1
S2 S 0.0000 0.0000 0.2299 1
S3 S 0.0000 0.0000 0.7701 1
S4 S 0.0000 0.0000 0.8541 1
```

---

[7]
Structure and computed powder diffractogram of MoW3Se4S4 (a crystal structure in the Materials Project, relaxed with GGA-PBE; Cu Kα, 1.54184 Å).
Peak positions follow from Bragg's law for the DFT cell and can differ from measured ones.

Principal peaks in the range 2θ from 15° to 90°, by angle:
2θ (°), d/Å, intensity, h k l
31.77, 2.816, 57, 1 0 0
32.58, 2.748, 16, 1 0 3
34.03, 2.634, 26, 1 0 5
37.37, 2.406, 100, 1 0 8
38.75, 2.324, 16, 1 0 9
45.31, 2.002, 61, 0 1 13
47.17, 1.927, 22, 1 0 14
56.55, 1.627, 34, 1 1 0
58.02, 1.590, 18, 1 1 5
69.75, 1.348, 16, 0 2 8
75.24, 1.263, 13, 2 0 13
80.37, 1.195, 16, 1 1 21

Structure:
```
data_MoW3Se4S4
_chemical_formula_sum 'Mo1 W3 Se4 S4'
_space_group_name_H-M_alt 'P 3 m 1'
_space_group_IT_number 156
_space_group_name_Hall 'P 3 -2"'
_cell_length_a 3.2556
_cell_length_b 3.2556
_cell_length_c 36.9446
_cell_angle_alpha 90.00
_cell_angle_beta 90.00
_cell_angle_gamma 120.00
loop_
_atom_site_label
_atom_site_type_symbol
_atom_site_fract_x
_atom_site_fract_y
_atom_site_fract_z
_atom_site_occupancy
Mo1 Mo 0.0000 0.0000 0.0000 1
W1 W 0.0000 0.0000 0.3758 1
W2 W 0.6667 0.3333 0.1879 1
W3 W 0.6667 0.3333 0.8121 1
Se1 Se 0.0000 0.0000 0.1417 1
Se2 Se 0.0000 0.0000 0.2341 1
Se3 Se 0.6667 0.3333 0.0460 1
Se4 Se 0.6667 0.3333 0.9540 1
S1 S 0.0000 0.0000 0.7702 1
S2 S 0.0000 0.0000 0.8541 1
S3 S 0.6667 0.3333 0.3338 1
S4 S 0.6667 0.3333 0.4178 1
```

---

[8]
Structure and computed powder diffractogram of MoWSe2S2 (a crystal structure in the Materials Project, relaxed with GGA-PBE; Cu Kα, 1.54184 Å).
Peak positions follow from Bragg's law for the DFT cell and can differ from measured ones.

Principal peaks in the range 2θ from 15° to 90°, by angle:
2θ (°), d/Å, intensity, h k l
31.78, 2.816, 46, 1 0 0
32.14, 2.785, 17, 0 1 2
32.61, 2.746, 16, 1 0 3
34.06, 2.632, 22, 1 0 5
37.41, 2.404, 100, 1 0 8
40.29, 2.239, 19, 1 0 10
45.37, 1.999, 59, 1 0 13
47.24, 1.924, 20, 1 0 14
56.58, 1.627, 32, 1 1 0
58.07, 1.589, 17, 1 1 5
69.81, 1.347, 17, 2 0 8
80.49, 1.193, 16, 1 1 21

Structure:
```
data_MoWSe2S2
_chemical_formula_sum 'Mo2 W2 Se4 S4'
_space_group_name_H-M_alt 'P 3 m 1'
_space_group_IT_number 156
_space_group_name_Hall 'P 3 -2"'
_cell_length_a 3.2534
_cell_length_b 3.2534
_cell_length_c 36.8678
_cell_angle_alpha 90.00
_cell_angle_beta 90.00
_cell_angle_gamma 120.00
loop_
_atom_site_label
_atom_site_type_symbol
_atom_site_fract_x
_atom_site_fract_y
_atom_site_fract_z
_atom_site_occupancy
Mo1 Mo 0.0000 0.0000 0.0000 1
Mo2 Mo 0.3333 0.6667 0.1879 1
W1 W 0.0000 0.0000 0.3757 1
W2 W 0.3333 0.6667 0.5637 1
Se1 Se 0.0000 0.0000 0.5173 1
Se2 Se 0.0000 0.0000 0.6100 1
Se3 Se 0.3333 0.6667 0.0461 1
Se4 Se 0.3333 0.6667 0.9540 1
S1 S 0.0000 0.0000 0.1460 1
S2 S 0.0000 0.0000 0.2298 1
S3 S 0.3333 0.6667 0.3337 1
S4 S 0.3333 0.6667 0.4178 1
```

---

[9]
Structure and computed powder diffractogram of MoWSe2S2 (a crystal structure in the Materials Project, relaxed with GGA-PBE; Cu Kα, 1.54184 Å).
Peak positions follow from Bragg's law for the DFT cell and can differ from measured ones.

Principal peaks in the range 2θ from 15° to 90°, by angle:
2θ (°), d/Å, intensity, h k l
31.71, 2.821, 37, 1 0 0
32.57, 2.749, 17, 1 0 3
34.04, 2.634, 25, 1 0 5
37.42, 2.403, 100, 1 0 8
41.93, 2.155, 15, 0 1 11
45.44, 1.996, 59, 0 1 13
47.33, 1.921, 21, 1 0 14
56.50, 1.629, 33, 1 1 0
57.99, 1.590, 17, 1 1 5
69.74, 1.348, 16, 0 2 8
75.30, 1.262, 15, 2 0 13
80.61, 1.192, 16, 1 1 21

Structure:
```
data_MoWSe2S2
_chemical_formula_sum 'Mo2 W2 Se4 S4'
_space_group_name_H-M_alt 'P 3 m 1'
_space_group_IT_number 156
_space_group_name_Hall 'P 3 -2"'
_cell_length_a 3.2580
_cell_length_b 3.2580
_cell_length_c 36.7094
_cell_angle_alpha 90.00
_cell_angle_beta 90.00
_cell_angle_gamma 120.00
loop_
_atom_site_label
_atom_site_type_symbol
_atom_site_fract_x
_atom_site_fract_y
_atom_site_fract_z
_atom_site_occupancy
Mo1 Mo 0.0000 0.0000 0.0000 1
Mo2 Mo 0.0000 0.0000 0.3758 1
W1 W 0.3333 0.6667 0.1879 1
W2 W 0.3333 0.6667 0.5637 1
Se1 Se 0.0000 0.0000 0.1414 1
Se2 Se 0.0000 0.0000 0.2344 1
Se3 Se 0.0000 0.0000 0.5172 1
Se4 Se 0.0000 0.0000 0.6102 1
S1 S 0.3333 0.6667 0.0420 1
S2 S 0.3333 0.6667 0.3338 1
S3 S 0.3333 0.6667 0.4178 1
S4 S 0.3333 0.6667 0.9580 1
```

---

[10]
Structure and computed powder diffractogram of MoWSe2S2 (a crystal structure in the Materials Project, relaxed with GGA-PBE; Cu Kα, 1.54184 Å).
Peak positions follow from Bragg's law for the DFT cell and can differ from measured ones.

Principal peaks in the range 2θ from 15° to 90°, by angle:
2θ (°), d/Å, intensity, h k l
31.74, 2.819, 50, 1 0 0
34.02, 2.636, 22, 1 0 5
36.11, 2.488, 17, 0 1 7
37.36, 2.407, 100, 1 0 8
38.74, 2.324, 19, 1 0 9
45.32, 2.001, 61, 0 1 13
47.19, 1.926, 23, 1 0 14
56.51, 1.629, 38, 1 1 0
57.98, 1.591, 17, 1 1 5
69.70, 1.349, 17, 0 2 8
75.21, 1.263, 14, 2 0 13
80.38, 1.195, 17, 1 1 21

Structure:
```
data_MoWSe2S2
_chemical_formula_sum 'Mo2 W2 Se4 S4'
_space_group_name_H-M_alt 'P 3 m 1'
_space_group_IT_number 156
_space_group_name_Hall 'P 3 -2"'
_cell_length_a 3.2580
_cell_length_b 3.2580
_cell_length_c 36.9035
_cell_angle_alpha 90.00
_cell_angle_beta 90.00
_cell_angle_gamma 120.00
loop_
_atom_site_label
_atom_site_type_symbol
_atom_site_fract_x
_atom_site_fract_y
_atom_site_fract_z
_atom_site_occupancy
Mo1 Mo 0.0000 0.0000 0.0000 1
Mo2 Mo 0.3333 0.6667 0.1879 1
W1 W 0.0000 0.0000 0.3757 1
W2 W 0.3333 0.6667 0.5637 1
Se1 Se 0.0000 0.0000 0.5174 1
Se2 Se 0.0000 0.0000 0.6099 1
Se3 Se 0.3333 0.6667 0.3295 1
Se4 Se 0.3333 0.6667 0.4220 1
S1 S 0.0000 0.0000 0.1460 1
S2 S 0.0000 0.0000 0.2297 1
S3 S 0.3333 0.6667 0.0418 1
S4 S 0.3333 0.6667 0.9582 1
```

---

[11]
Structure and computed powder diffractogram of MoWSe2S2 (a crystal structure in the Materials Project, relaxed with GGA-PBE; Cu Kα, 1.54184 Å).
Peak positions follow from Bragg's law for the DFT cell and can differ from measured ones.

Principal peaks in the range 2θ from 15° to 90°, by angle:
2θ (°), d/Å, intensity, h k l
31.78, 2.816, 50, 1 0 0
32.60, 2.747, 14, 1 0 3
34.06, 2.633, 24, 1 0 5
35.03, 2.562, 17, 0 1 6
37.40, 2.404, 100, 1 0 8
40.27, 2.239, 17, 1 0 10
45.36, 1.999, 59, 0 1 13
47.23, 1.925, 18, 1 0 14
56.57, 1.627, 32, 1 1 0
58.05, 1.589, 16, 1 1 5
69.80, 1.347, 16, 0 2 8
80.46, 1.194, 16, 1 1 21

Structure:
```
data_MoWSe2S2
_chemical_formula_sum 'Mo2 W2 Se4 S4'
_space_group_name_H-M_alt 'P 3 m 1'
_space_group_IT_number 156
_space_group_name_Hall 'P 3 -2"'
_cell_length_a 3.2540
_cell_length_b 3.2540
_cell_length_c 36.8847
_cell_angle_alpha 90.00
_cell_angle_beta 90.00
_cell_angle_gamma 120.00
loop_
_atom_site_label
_atom_site_type_symbol
_atom_site_fract_x
_atom_site_fract_y
_atom_site_fract_z
_atom_site_occupancy
Mo1 Mo 0.0000 0.0000 0.0000 1
Mo2 Mo 0.3333 0.6667 0.8121 1
W1 W 0.0000 0.0000 0.6243 1
W2 W 0.3333 0.6667 0.1879 1
Se1 Se 0.0000 0.0000 0.1416 1
Se2 Se 0.0000 0.0000 0.2342 1
Se3 Se 0.3333 0.6667 0.0460 1
Se4 Se 0.3333 0.6667 0.9540 1
S1 S 0.0000 0.0000 0.7702 1
S2 S 0.0000 0.0000 0.8540 1
S3 S 0.3333 0.6667 0.5822 1
S4 S 0.3333 0.6667 0.6663 1
```

---

[12]
Structure and computed powder diffractogram of MoW3Se4S4 (a crystal structure in the Materials Project, relaxed with GGA-PBE; Cu Kα, 1.54184 Å).
Peak positions follow from Bragg's law for the DFT cell and can differ from measured ones.

Principal peaks in the range 2θ from 15° to 90°, by angle:
2θ (°), d/Å, intensity, h k l
31.76, 2.817, 49, 1 0 0
32.11, 2.787, 13, 0 1 2
32.58, 2.748, 19, 1 0 3
34.03, 2.634, 26, 1 0 5
35.00, 2.564, 15, 0 1 6
37.37, 2.406, 100, 1 0 8
45.31, 2.002, 59, 0 1 13
47.17, 1.927, 20, 1 0 14
56.54, 1.628, 32, 1 1 0
58.02, 1.590, 18, 1 1 5
69.75, 1.348, 16, 0 2 8
80.36, 1.195, 16, 1 1 21

Structure:
```
data_MoW3Se4S4
_chemical_formula_sum 'Mo1 W3 Se4 S4'
_space_group_name_H-M_alt 'P 3 m 1'
_space_group_IT_number 156
_space_group_name_Hall 'P 3 -2"'
_cell_length_a 3.2557
_cell_length_b 3.2557
_cell_length_c 36.9460
_cell_angle_alpha 90.00
_cell_angle_beta 90.00
_cell_angle_gamma 120.00
loop_
_atom_site_label
_atom_site_type_symbol
_atom_site_fract_x
_atom_site_fract_y
_atom_site_fract_z
_atom_site_occupancy
Mo1 Mo 0.0000 0.0000 0.0000 1
W1 W 0.0000 0.0000 0.6243 1
W2 W 0.3333 0.6667 0.1880 1
W3 W 0.3333 0.6667 0.8122 1
Se1 Se 0.0000 0.0000 0.1417 1
Se2 Se 0.0000 0.0000 0.2342 1
Se3 Se 0.3333 0.6667 0.0460 1
Se4 Se 0.3333 0.6667 0.9540 1
S1 S 0.0000 0.0000 0.7702 1
S2 S 0.0000 0.0000 0.8541 1
S3 S 0.3333 0.6667 0.5823 1
S4 S 0.3333 0.6667 0.6663 1
```